Calculated powder diffraction line list of Li3V2F9 for Cu Kα X-rays, from the GGA+U geometry in Alexandria.
No peak broadening, texture or thermal motion is included.

Crystal structure
```
data_Li3V2F9
_chemical_formula_sum 'Li6 V4 F18'
_symmetry_space_group_name_H-M 'C 1 2 1'
_symmetry_Int_Tables_number 5
_symmetry_space_group_name_Hall 'C 2y'
_cell_length_a 10.026
_cell_length_b 5.283
_cell_length_c 7.450
_cell_angle_alpha 90.00
_cell_angle_beta 97.02
_cell_angle_gamma 90.00
loop_
_atom_site_label
_atom_site_fract_x
_atom_site_fract_y
_atom_site_fract_z
Li1 0.000 0.000 0.000
Li2 0.140 0.281 0.464
V1 0.140 0.493 0.845
F1 0.000 0.363 0.000
F2 0.031 0.786 0.810
F3 0.037 0.282 0.667
F4 0.244 0.199 0.961
F5 0.247 0.554 0.641
```

Peak list (10 most intense, 2θ from 5° to 70°, in order of falling intensity)
23.11 deg, intensity 100
11.97 deg, intensity 95
19.02 deg, intensity 60
20.26 deg, intensity 55
22.73 deg, intensity 39
28.26 deg, intensity 33
42.40 deg, intensity 30
21.93 deg, intensity 25
47.24 deg, intensity 24
38.59 deg, intensity 23